1.
The following is a theoretical XRD peak list of CsNaEuNb5O15. It was derived from a GGA-PBE-relaxed structure, using Cu Ka.
Neutral-atom scattering factors, no anomalous dispersion.

Structure:
```
CsNaEuNb5O15
1.0
7.713 0.000 0.000
0.000 10.704 0.000
0.000 0.000 7.989
Cs Na Eu Nb O
2 2 2 10 30
Cartesian
0.000 0.086 0.000
0.000 10.618 3.994
3.856 5.258 0.039
3.856 5.446 4.034
0.000 5.213 0.024
0.000 5.490 4.019
1.944 3.284 2.096
1.944 7.419 6.090
1.975 3.263 6.066
1.975 7.440 2.071
3.856 0.023 1.790
3.856 10.681 5.785
5.738 3.263 6.066
5.738 7.440 2.071
5.768 3.284 2.096
5.768 7.419 6.090
0.000 2.971 6.238
0.000 2.988 1.658
0.000 7.716 5.653
0.000 7.733 2.244
1.423 5.349 1.990
1.423 5.354 5.984
1.593 3.506 3.986
1.593 7.198 7.980
2.071 3.610 7.972
2.071 7.094 3.978
2.414 1.410 5.972
2.413 1.426 2.021
2.413 9.278 6.015
2.414 9.294 1.977
3.856 0.037 7.958
3.856 3.823 5.740
3.856 3.832 2.184
3.856 6.872 6.178
3.856 6.881 1.746
3.856 10.667 3.963
5.298 1.410 5.972
5.299 1.426 2.021
5.299 9.278 6.015
5.298 9.294 1.977
5.641 3.610 7.972
5.641 7.094 3.978
6.120 3.506 3.986
6.120 7.198 7.980
6.289 5.349 1.990
6.289 5.354 5.984
```

The 6 most intense peaks (5° ≤ 2θ ≤ 70°), in order of rising 2θ:
- 2θ = 25.11°, I = 39
- 2θ = 27.87°, I = 57
- 2θ = 28.53°, I = 100
- 2θ = 30.23°, I = 39
- 2θ = 32.27°, I = 50
- 2θ = 54.52°, I = 39

2.
The following is a theoretical XRD peak list of CsEuSiS4. It was derived from a GGA-PBE-relaxed structure, using Cu Ka.
Neutral-atom scattering factors, no anomalous dispersion.

Structure:
```
CsEuSiS4
1.0
6.630 0.000 0.000
0.000 6.840 0.000
0.000 0.000 18.083
Cs Eu Si S
4 4 4 16
Cartesian
0.114 0.032 8.436
3.201 6.807 17.478
3.429 3.387 9.647
6.516 3.452 0.605
1.384 0.202 13.127
1.930 6.638 4.085
4.699 3.218 4.956
5.245 3.622 13.998
1.396 3.536 6.040
1.919 3.304 15.082
4.711 6.723 12.044
5.234 0.116 3.002
0.283 0.079 1.716
0.497 1.758 15.483
0.732 3.900 4.044
0.769 5.099 15.284
2.546 1.741 6.242
2.583 2.939 13.086
2.818 5.082 6.441
3.032 6.761 10.757
3.598 3.341 16.368
3.812 1.662 2.601
4.047 6.359 14.039
4.084 5.160 2.799
5.861 1.679 11.841
5.897 0.481 4.998
6.133 5.178 11.642
6.346 3.498 7.326
```

The 6 most intense peaks (5° ≤ 2θ ≤ 70°), in order of rising 2θ:
- 2θ = 9.78°, I = 66
- 2θ = 19.28°, I = 99
- 2θ = 23.59°, I = 69
- 2θ = 26.06°, I = 82
- 2θ = 28.68°, I = 100
- 2θ = 39.14°, I = 91

3.
The following is a theoretical XRD peak list of CsSr4Eu. It was derived from a GGA-PBE-relaxed structure, using Cu Ka.
Neutral-atom scattering factors, no anomalous dispersion.

Structure:
```
CsSr4Eu
1.0
0.000 5.715 5.715
5.715 0.000 5.715
5.715 5.715 0.000
Cs Sr Eu
1 4 1
Cartesian
0.000 0.000 0.000
4.295 4.295 4.295
7.134 7.134 4.295
7.134 4.295 7.134
4.295 7.134 7.134
8.572 8.572 8.572
```

The 6 most intense peaks (5° ≤ 2θ ≤ 70°), in order of rising 2θ:
- 2θ = 22.00°, I = 41
- 2θ = 25.85°, I = 100
- 2θ = 27.03°, I = 26
- 2θ = 41.03°, I = 39
- 2θ = 44.86°, I = 32
- 2θ = 62.41°, I = 25